No. 1
For Si3N2, a structure optimized by DFT (PBE) gives the computed PXRD pattern in this record (a wavelength of 1.5418 Å).
Intensities are scaled so that the largest is 100.

Cell and atoms:
Cell lengths 6.700, 6.700, 6.700 Å; angles 90.00, 90.00, 90.00 degrees
Positions (direct):
1 Si 0.000 0.322 0.322
2 Si 0.000 0.322 0.678
3 Si 0.000 0.678 0.322
4 Si 0.000 0.678 0.678
5 Si 0.322 0.000 0.322
6 Si 0.322 0.000 0.678
7 Si 0.322 0.322 0.000
8 Si 0.322 0.678 0.000
9 Si 0.678 0.000 0.322
10 Si 0.678 0.000 0.678
11 Si 0.678 0.322 0.000
12 Si 0.678 0.678 0.000
13 N 0.221 0.221 0.221
14 N 0.221 0.221 0.779
15 N 0.221 0.779 0.221
16 N 0.221 0.779 0.779
17 N 0.779 0.221 0.221
18 N 0.779 0.221 0.779
19 N 0.779 0.779 0.221
20 N 0.779 0.779 0.779

Principal peaks in the range 5 to 70 degrees two-theta, sorted by position:
- 2θ = 18.7°, rel. 67
- 2θ = 26.6°, rel. 43
- 2θ = 29.8°, rel. 82
- 2θ = 32.7°, rel. 34
- 2θ = 40.4°, rel. 100
- 2θ = 58.4°, rel. 60

No. 2
For Si3N4, a structure optimized by DFT (PBE) gives the computed PXRD pattern in this record (a wavelength of 1.5418 Å).
Intensities are scaled so that the largest is 100.

Cell and atoms:
Cell lengths 7.809, 7.809, 5.660 Å; angles 90.00, 90.00, 120.00 degrees
Positions (direct):
1 Si 0.082 0.570 0.000
2 Si 0.086 0.253 0.292
3 Si 0.167 0.914 0.292
4 Si 0.253 0.086 0.792
5 Si 0.430 0.512 0.000
6 Si 0.488 0.918 0.000
7 Si 0.512 0.430 0.500
8 Si 0.570 0.082 0.500
9 Si 0.747 0.833 0.292
10 Si 0.833 0.747 0.792
11 Si 0.914 0.167 0.792
12 Si 0.918 0.488 0.500
13 N 0.000 0.000 0.292
14 N 0.000 0.000 0.792
15 N 0.004 0.319 0.038
16 N 0.045 0.655 0.273
17 N 0.315 0.996 0.038
18 N 0.319 0.004 0.538
19 N 0.333 0.667 0.944
20 N 0.345 0.390 0.273
21 N 0.390 0.345 0.773
22 N 0.610 0.955 0.273
23 N 0.655 0.045 0.773
24 N 0.667 0.333 0.444
25 N 0.681 0.685 0.038
26 N 0.685 0.681 0.538
27 N 0.955 0.610 0.773
28 N 0.996 0.315 0.538

Principal peaks in the range 5 to 70 degrees two-theta, sorted by position:
- 2θ = 20.5°, rel. 100
- 2θ = 22.8°, rel. 42
- 2θ = 30.8°, rel. 95
- 2θ = 34.4°, rel. 85
- 2θ = 35.1°, rel. 90
- 2θ = 38.6°, rel. 54

No. 3
For Si3N4, a structure optimized by DFT (PBE) gives the computed PXRD pattern in this record (a wavelength of 1.5418 Å).
Intensities are scaled so that the largest is 100.

Cell and atoms:
Cell lengths 5.619, 5.619, 5.619 Å; angles 109.47, 109.47, 109.47 degrees
Positions (direct):
1 Si 0.125 0.750 0.875
2 Si 0.250 0.625 0.375
3 Si 0.375 0.250 0.625
4 Si 0.625 0.375 0.250
5 Si 0.750 0.875 0.125
6 Si 0.875 0.125 0.750
7 N 0.000 0.063 0.500
8 N 0.000 0.563 0.500
9 N 0.063 0.500 0.000
10 N 0.437 0.437 0.437
11 N 0.500 0.000 0.063
12 N 0.500 0.000 0.563
13 N 0.563 0.500 0.000
14 N 0.937 0.937 0.937

Principal peaks in the range 5 to 70 degrees two-theta, sorted by position:
- 2θ = 33.8°, rel. 100
- 2θ = 44.1°, rel. 7
- 2θ = 52.8°, rel. 18
- 2θ = 56.8°, rel. 6
- 2θ = 64.2°, rel. 15
- 2θ = 67.7°, rel. 18

No. 4
For Si3N4, a structure optimized by DFT (PBE) gives the computed PXRD pattern in this record (a wavelength of 1.5418 Å).
Intensities are scaled so that the largest is 100.

Cell and atoms:
Cell lengths 6.206, 6.206, 3.977 Å; angles 90.00, 90.00, 120.00 degrees
Positions (direct):
1 Si 0.171 0.342 0.250
2 Si 0.171 0.829 0.250
3 Si 0.342 0.171 0.750
4 Si 0.658 0.829 0.250
5 Si 0.829 0.171 0.750
6 Si 0.829 0.658 0.750
7 N 0.157 0.314 0.750
8 N 0.157 0.843 0.750
9 N 0.314 0.157 0.250
10 N 0.333 0.667 0.250
11 N 0.667 0.333 0.750
12 N 0.686 0.843 0.750
13 N 0.843 0.157 0.250
14 N 0.843 0.686 0.250

Principal peaks in the range 5 to 70 degrees two-theta, sorted by position:
- 2θ = 16.5°, rel. 30
- 2θ = 27.9°, rel. 53
- 2θ = 33.3°, rel. 100
- 2θ = 45.6°, rel. 49
- 2θ = 57.7°, rel. 33
- 2θ = 59.6°, rel. 57

No. 5
For Si3N4, a structure optimized by DFT (PBE) gives the computed PXRD pattern in this record (a wavelength of 1.5418 Å).
Intensities are scaled so that the largest is 100.

Cell and atoms:
Cell lengths 7.711, 7.711, 5.634 Å; angles 90.00, 90.00, 120.00 degrees
Positions (direct):
1 Si 0.090 0.255 0.000
2 Si 0.098 0.584 0.711
3 Si 0.165 0.910 0.000
4 Si 0.255 0.090 0.500
5 Si 0.416 0.514 0.711
6 Si 0.486 0.902 0.711
7 Si 0.514 0.416 0.211
8 Si 0.584 0.098 0.211
9 Si 0.745 0.835 0.000
10 Si 0.835 0.745 0.500
11 Si 0.902 0.486 0.211
12 Si 0.910 0.165 0.500
13 N 0.000 0.000 0.001
14 N 0.000 0.000 0.501
15 N 0.020 0.650 0.972
16 N 0.027 0.331 0.736
17 N 0.303 0.973 0.736
18 N 0.331 0.027 0.236
19 N 0.333 0.667 0.153
20 N 0.350 0.370 0.972
21 N 0.370 0.350 0.472
22 N 0.630 0.980 0.972
23 N 0.650 0.020 0.472
24 N 0.667 0.333 0.653
25 N 0.669 0.697 0.736
26 N 0.697 0.669 0.236
27 N 0.973 0.303 0.236
28 N 0.980 0.630 0.472

Principal peaks in the range 5 to 70 degrees two-theta, sorted by position:
- 2θ = 20.6°, rel. 45
- 2θ = 31.1°, rel. 46
- 2θ = 34.6°, rel. 74
- 2θ = 35.6°, rel. 64
- 2θ = 39.1°, rel. 100
- 2θ = 43.7°, rel. 35